1.
Diffraction record for Rb3Tb3CrSe8. The PXRD pattern is computed, not measured: it uses a DFT-relaxed cell (PBE, Alexandria) and a wavelength of 1.5418 Å.
No peak broadening, texture or thermal motion is included.

Crystal structure
```
data_Rb3Tb3CrSe8
_chemical_formula_sum 'Rb3 Tb3 Cr1 Se8'
_cell_length_a 9.506
_cell_length_b 9.506
_cell_length_c 9.506
_cell_angle_alpha 50.91
_cell_angle_beta 50.91
_cell_angle_gamma 50.91
_symmetry_space_group_name_H-M 'P 1'
_symmetry_Int_Tables_number 1
loop_
_symmetry_equiv_pos_as_xyz
'x,y,z'
loop_
_atom_site_label
_atom_site_type_symbol
_atom_site_fract_x
_atom_site_fract_y
_atom_site_fract_z
_atom_site_occupancy
Rb1 Rb 0.000 0.500 0.500 1
Rb2 Rb 0.500 0.000 0.500 1
Rb3 Rb 0.500 0.500 0.000 1
Tb1 Tb 0.000 0.000 0.500 1
Tb2 Tb 0.000 0.500 0.000 1
Tb3 Tb 0.500 0.000 0.000 1
Cr1 Cr 0.500 0.500 0.500 1
Se1 Se 0.233 0.233 0.233 1
Se2 Se 0.256 0.713 0.713 1
Se3 Se 0.287 0.287 0.744 1
Se4 Se 0.287 0.744 0.287 1
Se5 Se 0.713 0.256 0.713 1
Se6 Se 0.713 0.713 0.256 1
Se7 Se 0.744 0.287 0.287 1
Se8 Se 0.767 0.767 0.767 1
```

Main lines, sorted by position (10 to 90 degrees two-theta):
2θ = 10.72°, I = 51
2θ = 29.07°, I = 100
2θ = 35.90°, I = 19
2θ = 38.65°, I = 31
2θ = 44.34°, I = 34
2θ = 47.90°, I = 11
2θ = 53.90°, I = 16
2θ = 58.33°, I = 11
2θ = 60.24°, I = 9
2θ = 72.27°, I = 13

***

2.
Diffraction record for RbCr2Si. The PXRD pattern is computed, not measured: it uses a DFT-relaxed cell (PBE, Alexandria) and a wavelength of 1.5418 Å.
No peak broadening, texture or thermal motion is included.

Crystal structure
```
data_RbCr2Si
_chemical_formula_sum 'Rb2 Cr4 Si2'
_cell_length_a 8.935
_cell_length_b 8.935
_cell_length_c 8.935
_cell_angle_alpha 141.64
_cell_angle_beta 141.64
_cell_angle_gamma 55.38
_symmetry_space_group_name_H-M 'P 1'
_symmetry_Int_Tables_number 1
loop_
_symmetry_equiv_pos_as_xyz
'x,y,z'
loop_
_atom_site_label
_atom_site_type_symbol
_atom_site_fract_x
_atom_site_fract_y
_atom_site_fract_z
_atom_site_occupancy
Rb1 Rb 0.375 0.625 0.750 1
Rb2 Rb 0.625 0.375 0.250 1
Cr1 Cr 0.000 0.000 0.000 1
Cr2 Cr 0.000 0.000 0.500 1
Cr3 Cr 0.000 0.500 0.000 1
Cr4 Cr 0.500 0.000 0.500 1
Si1 Si 0.125 0.875 0.250 1
Si2 Si 0.875 0.125 0.750 1
```

Main lines, sorted by position (10 to 90 degrees two-theta):
2θ = 22.66°, I = 78
2θ = 24.21°, I = 100
2θ = 30.45°, I = 27
2θ = 32.13°, I = 32
2θ = 32.53°, I = 40
2θ = 34.63°, I = 52
2θ = 38.17°, I = 29
2θ = 40.52°, I = 24
2θ = 49.61°, I = 57
2θ = 50.49°, I = 25

***

3.
Diffraction record for RbCrSn2. The PXRD pattern is computed, not measured: it uses a DFT-relaxed cell (PBE, Alexandria) and a wavelength of 1.5418 Å.
No peak broadening, texture or thermal motion is included.

Crystal structure
```
data_RbCrSn2
_chemical_formula_sum 'Rb2 Cr2 Sn4'
_cell_length_a 9.545
_cell_length_b 9.545
_cell_length_c 9.545
_cell_angle_alpha 142.47
_cell_angle_beta 142.47
_cell_angle_gamma 54.12
_symmetry_space_group_name_H-M 'P 1'
_symmetry_Int_Tables_number 1
loop_
_symmetry_equiv_pos_as_xyz
'x,y,z'
loop_
_atom_site_label
_atom_site_type_symbol
_atom_site_fract_x
_atom_site_fract_y
_atom_site_fract_z
_atom_site_occupancy
Rb1 Rb 0.375 0.625 0.750 1
Rb2 Rb 0.625 0.375 0.250 1
Cr1 Cr 0.125 0.875 0.250 1
Cr2 Cr 0.875 0.125 0.750 1
Sn1 Sn 0.000 0.000 0.000 1
Sn2 Sn 0.000 0.000 0.500 1
Sn3 Sn 0.000 0.500 0.000 1
Sn4 Sn 0.500 0.000 0.500 1
```

Main lines, sorted by position (10 to 90 degrees two-theta):
2θ = 15.34°, I = 89
2θ = 21.33°, I = 88
2θ = 23.00°, I = 74
2θ = 30.04°, I = 38
2θ = 30.97°, I = 100
2θ = 33.04°, I = 60
2θ = 36.09°, I = 22
2θ = 42.54°, I = 26
2θ = 43.46°, I = 40
2θ = 47.00°, I = 79

***

4.
Diffraction record for Rb3CrTe3. The PXRD pattern is computed, not measured: it uses a DFT-relaxed cell (PBE, Alexandria) and a wavelength of 1.5418 Å.
No peak broadening, texture or thermal motion is included.

Crystal structure
```
data_Rb3CrTe3
_chemical_formula_sum 'Rb12 Cr4 Te12'
_cell_length_a 11.564
_cell_length_b 11.564
_cell_length_c 14.611
_cell_angle_alpha 90.00
_cell_angle_beta 90.00
_cell_angle_gamma 38.60
_symmetry_space_group_name_H-M 'P 1'
_symmetry_Int_Tables_number 1
loop_
_symmetry_equiv_pos_as_xyz
'x,y,z'
loop_
_atom_site_label
_atom_site_type_symbol
_atom_site_fract_x
_atom_site_fract_y
_atom_site_fract_z
_atom_site_occupancy
Rb1 Rb 0.012 0.343 0.872 1
Rb2 Rb 0.157 0.488 0.628 1
Rb3 Rb 0.163 0.837 0.836 1
Rb4 Rb 0.337 0.663 0.336 1
Rb5 Rb 0.343 0.012 0.128 1
Rb6 Rb 0.488 0.157 0.372 1
Rb7 Rb 0.512 0.843 0.628 1
Rb8 Rb 0.657 0.988 0.872 1
Rb9 Rb 0.663 0.337 0.664 1
Rb10 Rb 0.837 0.163 0.164 1
Rb11 Rb 0.843 0.512 0.372 1
Rb12 Rb 0.988 0.657 0.128 1
Cr1 Cr 0.079 0.079 0.500 1
Cr2 Cr 0.421 0.421 0.000 1
Cr3 Cr 0.579 0.579 0.000 1
Cr4 Cr 0.921 0.921 0.500 1
Te1 Te 0.010 0.686 0.387 1
Te2 Te 0.186 0.510 0.887 1
Te3 Te 0.206 0.794 0.586 1
Te4 Te 0.294 0.706 0.086 1
Te5 Te 0.314 0.990 0.387 1
Te6 Te 0.490 0.814 0.887 1
Te7 Te 0.510 0.186 0.113 1
Te8 Te 0.686 0.010 0.613 1
Te9 Te 0.706 0.294 0.914 1
Te10 Te 0.794 0.206 0.414 1
Te11 Te 0.814 0.490 0.113 1
Te12 Te 0.990 0.314 0.613 1
```

Main lines, sorted by position (10 to 90 degrees two-theta):
2θ = 13.69°, I = 36
2θ = 23.28°, I = 30
2θ = 24.37°, I = 74
2θ = 24.47°, I = 92
2θ = 25.44°, I = 55
2θ = 29.18°, I = 48
2θ = 29.75°, I = 61
2θ = 34.01°, I = 100
2θ = 34.81°, I = 74
2θ = 46.45°, I = 29

***

5.
Diffraction record for Rb3Cr20Te32. The PXRD pattern is computed, not measured: it uses a DFT-relaxed cell (PBE, Alexandria) and a wavelength of 1.5418 Å.
No peak broadening, texture or thermal motion is included.

Crystal structure
```
data_Rb3Cr20Te32
_chemical_formula_sum 'Rb3 Cr20 Te32'
_cell_length_a 10.333
_cell_length_b 11.638
_cell_length_c 14.036
_cell_angle_alpha 89.59
_cell_angle_beta 78.28
_cell_angle_gamma 79.55
_symmetry_space_group_name_H-M 'P 1'
_symmetry_Int_Tables_number 1
loop_
_symmetry_equiv_pos_as_xyz
'x,y,z'
loop_
_atom_site_label
_atom_site_type_symbol
_atom_site_fract_x
_atom_site_fract_y
_atom_site_fract_z
_atom_site_occupancy
Rb1 Rb 0.000 0.000 0.000 1
Rb2 Rb 0.001 0.500 0.250 1
Rb3 Rb 0.999 0.500 0.750 1
Cr1 Cr 0.181 0.969 0.249 1
Cr2 Cr 0.184 0.469 0.489 1
Cr3 Cr 0.185 0.969 0.735 1
Cr4 Cr 0.187 0.468 0.990 1
Cr5 Cr 0.487 0.081 0.631 1
Cr6 Cr 0.488 0.583 0.881 1
Cr7 Cr 0.489 0.583 0.381 1
Cr8 Cr 0.496 0.083 0.128 1
Cr9 Cr 0.497 0.752 0.626 1
Cr10 Cr 0.499 0.250 0.875 1
Cr11 Cr 0.501 0.750 0.125 1
Cr12 Cr 0.503 0.248 0.374 1
Cr13 Cr 0.504 0.917 0.872 1
Cr14 Cr 0.511 0.417 0.619 1
Cr15 Cr 0.512 0.417 0.119 1
Cr16 Cr 0.513 0.919 0.369 1
Cr17 Cr 0.813 0.532 0.010 1
Cr18 Cr 0.815 0.031 0.265 1
Cr19 Cr 0.816 0.531 0.511 1
Cr20 Cr 0.819 0.031 0.751 1
Te1 Te 0.001 0.160 0.248 1
Te2 Te 0.002 0.661 0.494 1
Te3 Te 0.003 0.659 0.994 1
Te4 Te 0.005 0.160 0.738 1
Te5 Te 0.339 0.102 0.818 1
Te6 Te 0.342 0.602 0.567 1
Te7 Te 0.343 0.602 0.068 1
Te8 Te 0.344 0.783 0.812 1
Te9 Te 0.344 0.939 0.558 1
Te10 Te 0.345 0.941 0.067 1
Te11 Te 0.346 0.439 0.810 1
Te12 Te 0.347 0.102 0.314 1
Te13 Te 0.349 0.438 0.311 1
Te14 Te 0.350 0.283 0.062 1
Te15 Te 0.350 0.283 0.560 1
Te16 Te 0.352 0.783 0.311 1
Te17 Te 0.648 0.217 0.689 1
Te18 Te 0.650 0.717 0.440 1
Te19 Te 0.650 0.717 0.938 1
Te20 Te 0.651 0.562 0.689 1
Te21 Te 0.653 0.898 0.686 1
Te22 Te 0.654 0.561 0.190 1
Te23 Te 0.655 0.059 0.933 1
Te24 Te 0.656 0.061 0.442 1
Te25 Te 0.656 0.217 0.188 1
Te26 Te 0.657 0.398 0.932 1
Te27 Te 0.658 0.398 0.433 1
Te28 Te 0.661 0.898 0.182 1
Te29 Te 0.995 0.840 0.262 1
Te30 Te 0.997 0.341 0.006 1
Te31 Te 0.998 0.339 0.506 1
Te32 Te 0.999 0.840 0.752 1
```

Main lines, sorted by position (10 to 90 degrees two-theta):
2θ = 26.90°, I = 29
2θ = 27.09°, I = 29
2θ = 27.35°, I = 28
2θ = 28.40°, I = 35
2θ = 29.20°, I = 49
2θ = 33.01°, I = 100
2θ = 43.44°, I = 18
2θ = 43.86°, I = 18
2θ = 45.52°, I = 17
2θ = 46.84°, I = 18

***

6.
Diffraction record for Rb4CrTe4. The PXRD pattern is computed, not measured: it uses a DFT-relaxed cell (PBE, Alexandria) and a wavelength of 1.5418 Å.
No peak broadening, texture or thermal motion is included.

Crystal structure
```
data_Rb4CrTe4
_chemical_formula_sum 'Rb4 Cr1 Te4'
_cell_length_a 8.996
_cell_length_b 8.996
_cell_length_c 8.996
_cell_angle_alpha 131.17
_cell_angle_beta 131.17
_cell_angle_gamma 71.54
_symmetry_space_group_name_H-M 'P 1'
_symmetry_Int_Tables_number 1
loop_
_symmetry_equiv_pos_as_xyz
'x,y,z'
loop_
_atom_site_label
_atom_site_type_symbol
_atom_site_fract_x
_atom_site_fract_y
_atom_site_fract_z
_atom_site_occupancy
Rb1 Rb 0.063 0.658 0.000 1
Rb2 Rb 0.342 0.342 0.405 1
Rb3 Rb 0.658 0.063 0.000 1
Rb4 Rb 0.937 0.937 0.595 1
Cr1 Cr 0.500 0.500 0.000 1
Te1 Te 0.200 0.200 0.607 1
Te2 Te 0.407 0.800 0.000 1
Te3 Te 0.593 0.593 0.393 1
Te4 Te 0.800 0.407 0.000 1
```

Main lines, sorted by position (10 to 90 degrees two-theta):
2θ = 13.36°, I = 29
2θ = 23.93°, I = 100
2θ = 24.39°, I = 60
2θ = 27.51°, I = 76
2θ = 29.80°, I = 35
2θ = 32.61°, I = 61
2θ = 34.10°, I = 37
2θ = 34.43°, I = 87
2θ = 51.02°, I = 35
2θ = 54.24°, I = 37

***

7.
Diffraction record for RbCr15Te24. The PXRD pattern is computed, not measured: it uses a DFT-relaxed cell (PBE, Alexandria) and a wavelength of 1.5418 Å.
No peak broadening, texture or thermal motion is included.

Crystal structure
```
data_RbCr15Te24
_chemical_formula_sum 'Rb1 Cr15 Te24'
_cell_length_a 10.402
_cell_length_b 11.855
_cell_length_c 11.871
_cell_angle_alpha 119.96
_cell_angle_beta 90.36
_cell_angle_gamma 112.33
_symmetry_space_group_name_H-M 'P 1'
_symmetry_Int_Tables_number 1
loop_
_symmetry_equiv_pos_as_xyz
'x,y,z'
loop_
_atom_site_label
_atom_site_type_symbol
_atom_site_fract_x
_atom_site_fract_y
_atom_site_fract_z
_atom_site_occupancy
Rb1 Rb 0.000 0.000 0.000 1
Cr1 Cr 0.168 0.187 0.594 1
Cr2 Cr 0.168 0.519 0.593 1
Cr3 Cr 0.168 0.851 0.591 1
Cr4 Cr 0.485 0.655 0.316 1
Cr5 Cr 0.485 0.986 0.317 1
Cr6 Cr 0.486 0.320 0.317 1
Cr7 Cr 0.497 0.666 0.001 1
Cr8 Cr 0.500 0.000 0.000 1
Cr9 Cr 0.503 0.334 0.999 1
Cr10 Cr 0.514 0.680 0.683 1
Cr11 Cr 0.515 0.014 0.683 1
Cr12 Cr 0.515 0.345 0.684 1
Cr13 Cr 0.832 0.149 0.409 1
Cr14 Cr 0.832 0.481 0.407 1
Cr15 Cr 0.832 0.813 0.406 1
Te1 Te 0.005 0.330 0.658 1
Te2 Te 0.005 0.663 0.656 1
Te3 Te 0.005 0.996 0.656 1
Te4 Te 0.325 0.697 0.177 1
Te5 Te 0.328 0.030 0.177 1
Te6 Te 0.330 0.365 0.176 1
Te7 Te 0.338 0.706 0.853 1
Te8 Te 0.339 0.372 0.853 1
Te9 Te 0.340 0.040 0.853 1
Te10 Te 0.342 0.041 0.521 1
Te11 Te 0.342 0.374 0.521 1
Te12 Te 0.342 0.708 0.520 1
Te13 Te 0.658 0.292 0.480 1
Te14 Te 0.658 0.626 0.479 1
Te15 Te 0.658 0.959 0.479 1
Te16 Te 0.660 0.960 0.147 1
Te17 Te 0.661 0.628 0.147 1
Te18 Te 0.662 0.294 0.147 1
Te19 Te 0.670 0.635 0.824 1
Te20 Te 0.672 0.970 0.823 1
Te21 Te 0.675 0.303 0.823 1
Te22 Te 0.995 0.004 0.344 1
Te23 Te 0.995 0.337 0.344 1
Te24 Te 0.995 0.670 0.342 1
```

Main lines, sorted by position (10 to 90 degrees two-theta):
2θ = 11.29°, I = 25
2θ = 28.71°, I = 35
2θ = 28.92°, I = 46
2θ = 29.08°, I = 100
2θ = 30.56°, I = 70
2θ = 30.68°, I = 32
2θ = 34.55°, I = 27
2θ = 45.87°, I = 55
2θ = 45.93°, I = 28
2θ = 55.21°, I = 34

***

8.
Diffraction record for Rb3Cr20Te32. The PXRD pattern is computed, not measured: it uses a DFT-relaxed cell (PBE, Alexandria) and a wavelength of 1.5418 Å.
No peak broadening, texture or thermal motion is included.

Crystal structure
```
data_Rb3Cr20Te32
_chemical_formula_sum 'Rb3 Cr20 Te32'
_cell_length_a 11.205
_cell_length_b 11.893
_cell_length_c 13.742
_cell_angle_alpha 114.32
_cell_angle_beta 101.45
_cell_angle_gamma 102.07
_symmetry_space_group_name_H-M 'P 1'
_symmetry_Int_Tables_number 1
loop_
_symmetry_equiv_pos_as_xyz
'x,y,z'
loop_
_atom_site_label
_atom_site_type_symbol
_atom_site_fract_x
_atom_site_fract_y
_atom_site_fract_z
_atom_site_occupancy
Rb1 Rb 0.000 0.000 0.000 1
Rb2 Rb 0.278 0.000 0.277 1
Rb3 Rb 0.722 0.000 0.723 1
Cr1 Cr 0.069 0.462 0.236 1
Cr2 Cr 0.118 0.163 0.627 1
Cr3 Cr 0.125 0.500 0.625 1
Cr4 Cr 0.130 0.836 0.623 1
Cr5 Cr 0.181 0.537 0.014 1
Cr6 Cr 0.320 0.463 0.486 1
Cr7 Cr 0.367 0.163 0.877 1
Cr8 Cr 0.375 0.500 0.875 1
Cr9 Cr 0.381 0.837 0.873 1
Cr10 Cr 0.431 0.537 0.264 1
Cr11 Cr 0.569 0.463 0.736 1
Cr12 Cr 0.619 0.163 0.127 1
Cr13 Cr 0.625 0.500 0.125 1
Cr14 Cr 0.633 0.837 0.123 1
Cr15 Cr 0.680 0.537 0.514 1
Cr16 Cr 0.819 0.463 0.986 1
Cr17 Cr 0.870 0.164 0.377 1
Cr18 Cr 0.875 0.500 0.375 1
Cr19 Cr 0.882 0.837 0.373 1
Cr20 Cr 0.931 0.538 0.764 1
Te1 Te 0.004 0.657 0.993 1
Te2 Te 0.106 0.062 0.771 1
Te3 Te 0.107 0.403 0.777 1
Te4 Te 0.119 0.737 0.771 1
Te5 Te 0.132 0.263 0.479 1
Te6 Te 0.140 0.937 0.480 1
Te7 Te 0.142 0.597 0.473 1
Te8 Te 0.248 0.343 0.258 1
Te9 Te 0.253 0.655 0.242 1
Te10 Te 0.358 0.402 0.027 1
Te11 Te 0.359 0.062 0.023 1
Te12 Te 0.370 0.738 0.022 1
Te13 Te 0.381 0.264 0.730 1
Te14 Te 0.387 0.937 0.728 1
Te15 Te 0.392 0.598 0.723 1
Te16 Te 0.498 0.345 0.509 1
Te17 Te 0.502 0.655 0.491 1
Te18 Te 0.608 0.402 0.277 1
Te19 Te 0.613 0.063 0.272 1
Te20 Te 0.619 0.736 0.270 1
Te21 Te 0.630 0.262 0.978 1
Te22 Te 0.641 0.938 0.977 1
Te23 Te 0.642 0.598 0.973 1
Te24 Te 0.747 0.345 0.758 1
Te25 Te 0.752 0.657 0.742 1
Te26 Te 0.858 0.403 0.527 1
Te27 Te 0.860 0.063 0.520 1
Te28 Te 0.868 0.737 0.521 1
Te29 Te 0.881 0.263 0.229 1
Te30 Te 0.893 0.597 0.223 1
Te31 Te 0.894 0.938 0.229 1
Te32 Te 0.996 0.343 0.007 1
```

Main lines, sorted by position (10 to 90 degrees two-theta):
2θ = 28.32°, I = 47
2θ = 28.49°, I = 57
2θ = 29.07°, I = 67
2θ = 29.09°, I = 65
2θ = 30.11°, I = 100
2θ = 31.05°, I = 39
2θ = 41.68°, I = 28
2θ = 45.60°, I = 35
2θ = 45.81°, I = 35
2θ = 45.85°, I = 35

***

9.
Diffraction record for Rb3CrTe4. The PXRD pattern is computed, not measured: it uses a DFT-relaxed cell (PBE, Alexandria) and a wavelength of 1.5418 Å.
No peak broadening, texture or thermal motion is included.

Crystal structure
```
data_Rb3CrTe4
_chemical_formula_sum 'Rb12 Cr4 Te16'
_cell_length_a 10.552
_cell_length_b 11.990
_cell_length_c 10.597
_cell_angle_alpha 90.00
_cell_angle_beta 90.00
_cell_angle_gamma 90.00
_symmetry_space_group_name_H-M 'P 1'
_symmetry_Int_Tables_number 1
loop_
_symmetry_equiv_pos_as_xyz
'x,y,z'
loop_
_atom_site_label
_atom_site_type_symbol
_atom_site_fract_x
_atom_site_fract_y
_atom_site_fract_z
_atom_site_occupancy
Rb1 Rb 0.046 0.044 0.199 1
Rb2 Rb 0.046 0.456 0.199 1
Rb3 Rb 0.143 0.750 0.409 1
Rb4 Rb 0.357 0.250 0.909 1
Rb5 Rb 0.454 0.544 0.699 1
Rb6 Rb 0.454 0.956 0.699 1
Rb7 Rb 0.546 0.044 0.301 1
Rb8 Rb 0.546 0.456 0.301 1
Rb9 Rb 0.643 0.750 0.091 1
Rb10 Rb 0.857 0.250 0.591 1
Rb11 Rb 0.954 0.544 0.801 1
Rb12 Rb 0.954 0.956 0.801 1
Cr1 Cr 0.223 0.750 0.981 1
Cr2 Cr 0.277 0.250 0.481 1
Cr3 Cr 0.723 0.750 0.519 1
Cr4 Cr 0.777 0.250 0.019 1
Te1 Te 0.005 0.750 0.077 1
Te2 Te 0.163 0.077 0.547 1
Te3 Te 0.163 0.423 0.547 1
Te4 Te 0.204 0.750 0.747 1
Te5 Te 0.296 0.250 0.247 1
Te6 Te 0.337 0.577 0.047 1
Te7 Te 0.337 0.923 0.047 1
Te8 Te 0.495 0.250 0.577 1
Te9 Te 0.505 0.750 0.423 1
Te10 Te 0.663 0.077 0.953 1
Te11 Te 0.663 0.423 0.953 1
Te12 Te 0.704 0.750 0.753 1
Te13 Te 0.796 0.250 0.253 1
Te14 Te 0.837 0.577 0.453 1
Te15 Te 0.837 0.923 0.453 1
Te16 Te 0.995 0.250 0.923 1
```

Main lines, sorted by position (10 to 90 degrees two-theta):
2θ = 13.96°, I = 35
2θ = 23.95°, I = 35
2θ = 25.27°, I = 40
2θ = 26.30°, I = 91
2θ = 26.69°, I = 100
2θ = 28.01°, I = 91
2θ = 28.13°, I = 59
2θ = 29.26°, I = 92
2θ = 34.01°, I = 47
2θ = 45.73°, I = 31